Computed powder XRD pattern
Compound: NbGaCu
Radiation: CuKα
Structure: a crystal structure in Alexandria, relaxed with GGA-PBE
Neutral-atom scattering factors, no anomalous dispersion.

Largest 10 diffraction maxima, low angle first, 15 to 90 degrees two-theta:
h k l, 2θ/deg, I/Imax
0 1 2, 32.29, 11.5
1 1 0, 37.17, 16.5
1 0 -2, 37.99, 24.1
1 1 -1, 38.61, 13.9
1 1 1, 39.81, 50.0
1 0 2, 40.39, 10.1
0 2 0, 42.70, 100.0
1 1 -2, 43.79, 27.9
1 2 -2, 58.47, 13.1
0 3 3, 78.18, 11.5

Atomic structure:
abc: 2.953 4.235 7.351
angles: 90.00 93.45 90.00
Element x y z (fractional)
Nb 0.188 0.250 0.112
Nb 0.812 0.750 0.888
Ga 0.294 0.250 0.742
Ga 0.706 0.750 0.258
Cu 0.259 0.750 0.549
Cu 0.741 0.250 0.451